# 1
This entry pairs a crystal structure of La4C23 with its theoretical X-ray powder pattern. Radiation: a wavelength of 1.5418 Å. Structure: a PBE-relaxed structure.

a b c (Å): 7.615 7.615 7.615
angles (deg): 90.00 90.00 90.00
Atoms (fractional coordinates):
La1 0.000 0.000 0.000
La2 0.000 0.250 0.500
La3 0.000 0.750 0.500
La4 0.250 0.500 0.000
La5 0.500 0.000 0.250
La6 0.500 0.000 0.750
La7 0.500 0.500 0.500
La8 0.750 0.500 0.000
C1 0.000 0.297 0.176
C2 0.000 0.297 0.824
C3 0.000 0.500 0.250
C4 0.000 0.500 0.750
C5 0.000 0.703 0.176
C6 0.000 0.703 0.824
C7 0.176 0.000 0.297
C8 0.176 0.000 0.703
C9 0.189 0.189 0.189
C10 0.189 0.189 0.811
C11 0.189 0.811 0.189
C12 0.189 0.811 0.811
C13 0.203 0.500 0.324
C14 0.203 0.500 0.676
C15 0.250 0.000 0.500
C16 0.297 0.176 0.000
C17 0.297 0.824 0.000
C18 0.311 0.311 0.311
C19 0.311 0.311 0.689
C20 0.311 0.689 0.311
C21 0.311 0.689 0.689
C22 0.324 0.203 0.500
C23 0.324 0.797 0.500
C24 0.500 0.250 0.000
C25 0.500 0.324 0.203
C26 0.500 0.324 0.797
C27 0.500 0.676 0.203
C28 0.500 0.676 0.797
C29 0.500 0.750 0.000
C30 0.676 0.203 0.500
C31 0.676 0.797 0.500
C32 0.689 0.311 0.311
C33 0.689 0.311 0.689
C34 0.689 0.689 0.311
C35 0.689 0.689 0.689
C36 0.703 0.176 0.000
C37 0.703 0.824 0.000
C38 0.750 0.000 0.500
C39 0.797 0.500 0.324
C40 0.797 0.500 0.676
C41 0.811 0.189 0.189
C42 0.811 0.189 0.811
C43 0.811 0.811 0.189
C44 0.811 0.811 0.811
C45 0.824 0.000 0.297
C46 0.824 0.000 0.703

Principal peaks in the range 10 to 90 degrees two-theta, in order of rising 2θ:
2θ = 26.17°, intensity 94, hkl 2 1 0; 2θ = 28.72°, intensity 100, hkl 2 1 1; 2θ = 42.82°, intensity 50, hkl 3 2 0; 2θ = 44.52°, intensity 89, hkl 3 2 1; 2θ = 47.78°, intensity 34, hkl 4 0 0; 2θ = 77.23°, intensity 28, hkl 5 3 2



# 2
This entry pairs a crystal structure of BaIn6Ag2 with its theoretical X-ray powder pattern. Radiation: a wavelength of 1.5418 Å. Structure: a PBE-relaxed structure.

a b c (Å): 5.286 5.286 8.850
angles (deg): 90.00 90.00 90.00
Atoms (fractional coordinates):
Ba1 0.000 0.000 0.000
In1 0.000 0.000 0.500
In2 0.000 0.500 0.296
In3 0.000 0.500 0.704
In4 0.500 0.000 0.296
In5 0.500 0.000 0.704
In6 0.500 0.500 0.500
Ag1 0.500 0.500 0.155
Ag2 0.500 0.500 0.845

Principal peaks in the range 10 to 90 degrees two-theta, in order of rising 2θ:
2θ = 31.33°, intensity 100, hkl 1 1 2; 2θ = 33.92°, intensity 99, hkl 2 0 0; 2θ = 38.89°, intensity 55, hkl 1 1 3; 2θ = 48.72°, intensity 35, hkl 2 2 0; 2θ = 59.07°, intensity 32, hkl 3 1 2; 2θ = 64.02°, intensity 24, hkl 3 1 3



# 3
This entry pairs a crystal structure of Tm4Bi2C with its theoretical X-ray powder pattern. Radiation: a wavelength of 1.5418 Å. Structure: a PBE-relaxed structure.

a b c (Å): 6.932 6.681 8.682
angles (deg): 90.00 108.19 90.00
Atoms (fractional coordinates):
Tm1 0.006 0.002 0.271
Tm2 0.006 0.498 0.271
Tm3 0.369 0.750 0.062
Tm4 0.404 0.750 0.635
Tm5 0.596 0.250 0.365
Tm6 0.631 0.250 0.938
Tm7 0.994 0.502 0.729
Tm8 0.994 0.998 0.729
Bi1 0.228 0.250 0.047
Bi2 0.291 0.250 0.579
Bi3 0.709 0.750 0.421
Bi4 0.772 0.750 0.953
C1 0.210 0.750 0.797
C2 0.790 0.250 0.203

Principal peaks in the range 10 to 90 degrees two-theta, in order of rising 2θ:
2θ = 28.91°, intensity 59, hkl 1 0 2; 2θ = 28.94°, intensity 69, hkl 2 0 -2; 2θ = 30.00°, intensity 54, hkl 1 2 0; 2θ = 31.94°, intensity 41, hkl 2 1 -2; 2θ = 34.56°, intensity 100, hkl 1 2 -2; 2θ = 38.39°, intensity 35, hkl 2 2 0



Number 3 is which compound?
Tm4Bi2C



Please write out number 1 again, unchanged.
This entry pairs a crystal structure of La4C23 with its theoretical X-ray powder pattern. Radiation: a wavelength of 1.5418 Å. Structure: a PBE-relaxed structure.

a b c (Å): 7.615 7.615 7.615
angles (deg): 90.00 90.00 90.00
Atoms (fractional coordinates):
La1 0.000 0.000 0.000
La2 0.000 0.250 0.500
La3 0.000 0.750 0.500
La4 0.250 0.500 0.000
La5 0.500 0.000 0.250
La6 0.500 0.000 0.750
La7 0.500 0.500 0.500
La8 0.750 0.500 0.000
C1 0.000 0.297 0.176
C2 0.000 0.297 0.824
C3 0.000 0.500 0.250
C4 0.000 0.500 0.750
C5 0.000 0.703 0.176
C6 0.000 0.703 0.824
C7 0.176 0.000 0.297
C8 0.176 0.000 0.703
C9 0.189 0.189 0.189
C10 0.189 0.189 0.811
C11 0.189 0.811 0.189
C12 0.189 0.811 0.811
C13 0.203 0.500 0.324
C14 0.203 0.500 0.676
C15 0.250 0.000 0.500
C16 0.297 0.176 0.000
C17 0.297 0.824 0.000
C18 0.311 0.311 0.311
C19 0.311 0.311 0.689
C20 0.311 0.689 0.311
C21 0.311 0.689 0.689
C22 0.324 0.203 0.500
C23 0.324 0.797 0.500
C24 0.500 0.250 0.000
C25 0.500 0.324 0.203
C26 0.500 0.324 0.797
C27 0.500 0.676 0.203
C28 0.500 0.676 0.797
C29 0.500 0.750 0.000
C30 0.676 0.203 0.500
C31 0.676 0.797 0.500
C32 0.689 0.311 0.311
C33 0.689 0.311 0.689
C34 0.689 0.689 0.311
C35 0.689 0.689 0.689
C36 0.703 0.176 0.000
C37 0.703 0.824 0.000
C38 0.750 0.000 0.500
C39 0.797 0.500 0.324
C40 0.797 0.500 0.676
C41 0.811 0.189 0.189
C42 0.811 0.189 0.811
C43 0.811 0.811 0.189
C44 0.811 0.811 0.811
C45 0.824 0.000 0.297
C46 0.824 0.000 0.703

Principal peaks in the range 10 to 90 degrees two-theta, in order of rising 2θ:
2θ = 26.17°, intensity 94, hkl 2 1 0; 2θ = 28.72°, intensity 100, hkl 2 1 1; 2θ = 42.82°, intensity 50, hkl 3 2 0; 2θ = 44.52°, intensity 89, hkl 3 2 1; 2θ = 47.78°, intensity 34, hkl 4 0 0; 2θ = 77.23°, intensity 28, hkl 5 3 2



What is the formula in the first record?
La4C23